No. 1
K2Re3CS5N: simulated powder diffraction line list (Cu Kα (λ = 1.5418 Å)), based on a cell relaxed with PBE.
Kinematic intensities with the Lorentz-polarization factor, no thermal factor.

Structural model:
Cell lengths 11.5147, 9.3387, 10.3239 Å; angles 90.00, 90.00, 90.00 degrees
Space group Pmna (No. 53)
Inequivalent atoms, fractional coordinates:
1 K 0.0000 0.2246 0.0720 x4
2 K 0.2500 0.0448 0.7500 x4
3 Re 0.0000 0.3364 0.6033 x4
4 Re 0.1143 0.4189 0.3934 x8
5 C 0.0000 0.1667 0.7370 x4
6 S 0.0000 0.1995 0.4054 x4
7 S 0.0000 0.4915 0.7880 x4
8 S 0.2109 0.3504 0.5921 x8
9 S 0.2500 0.2900 0.2500 x4
10 N 0.0000 0.0801 0.8208 x4

Principal peaks in the range 2θ = 10–90°, low angle first:
- 11.5°, rel. 100.0, (1 0 1)
- 14.9°, rel. 64.6, (1 1 1)
- 15.4°, rel. 11.6, (2 0 0)
- 34.5°, rel. 9.2, (1 3 2)
- 34.9°, rel. 10.5, (3 2 2)
- 43.3°, rel. 11.2, (1 4 2)
- 45.4°, rel. 15.8, (4 2 3)
- 47.4°, rel. 12.3, (5 2 2)



No. 2
Ho2Si7Pt12: simulated powder diffraction line list (Cu Kα (λ = 1.5418 Å)), based on a cell relaxed with PBE.
Kinematic intensities with the Lorentz-polarization factor, no thermal factor.

Structural model:
Cell lengths 9.9465, 9.9465, 3.9397 Å; angles 90.00, 90.00, 120.00 degrees
Space group P-3 (No. 147)
Inequivalent atoms, fractional coordinates:
1 Ho 0.3333 0.6667 0.2460 x2
2 Si 0.0000 0.0000 0.5000 x1
3 Si 0.1174 0.4051 0.7468 x6
4 Pt 0.0748 0.6198 0.7492 x6
5 Pt 0.1131 0.8524 0.2424 x6

Principal peaks in the range 2θ = 10–90°, low angle first:
- 27.4°, rel. 20.2, (1 2 0)
- 35.8°, rel. 100.0, (3 -1 1)
- 45.9°, rel. 13.2, (2 3 0)
- 46.1°, rel. 14.8, (0 0 2)
- 48.4°, rel. 17.1, (4 1 0)
- 69.1°, rel. 11.3, (5 -4 2)
- 78.6°, rel. 11.7, (3 -1 3)
- 82.0°, rel. 9.7, (8 -3 1)